[1]
Simulated XRD peak list of CePd for Cu Ka, from a structure optimized by DFT (PBE).
Neutral-atom scattering factors, no anomalous dispersion.

```
data_CePd
_chemical_formula_sum 'Ce2 Pd2'
_cell_length_a 5.8528
_cell_length_b 5.8528
_cell_length_c 4.5162
_cell_angle_alpha 90.00
_cell_angle_beta 90.00
_cell_angle_gamma 141.80
_symmetry_space_group_name_H-M 'P 1'
_symmetry_Int_Tables_number 1
loop_
_symmetry_equiv_pos_as_xyz
'x,y,z'
loop_
_atom_site_label
_atom_site_type_symbol
_atom_site_fract_x
_atom_site_fract_y
_atom_site_fract_z
Ce1 Ce 0.1369 0.8631 0.7500
Ce2 Ce 0.8631 0.1369 0.2500
Pd1 Pd 0.4105 0.5895 0.7500
Pd2 Pd 0.5895 0.4105 0.2500
```

Most intense lines, 15 to 90 degrees two-theta, in order of falling intensity:
2θ 31.68, d 2.825, intensity 100.0; 2θ 39.35, d 2.290, intensity 68.3; 2θ 32.38, d 2.765, intensity 35.8; 2θ 39.92, d 2.258, intensity 30.4; 2θ 63.71, d 1.461, intensity 27.1; 2θ 47.47, d 1.915, intensity 19.8; 2θ 52.31, d 1.749, intensity 18.3; 2θ 38.16, d 2.358, intensity 17.7; 2θ 33.74, d 2.656, intensity 17.5; 2θ 67.37, d 1.390, intensity 16.5


[2]
Simulated XRD peak list of Ce3Pd4 for Cu Ka, from a structure optimized by DFT (PBE).
Neutral-atom scattering factors, no anomalous dispersion.

```
data_Ce3Pd4
_chemical_formula_sum 'Ce6 Pd8'
_cell_length_a 8.0597
_cell_length_b 8.0597
_cell_length_c 8.0597
_cell_angle_alpha 114.49
_cell_angle_beta 114.49
_cell_angle_gamma 114.49
_symmetry_space_group_name_H-M 'P 1'
_symmetry_Int_Tables_number 1
loop_
_symmetry_equiv_pos_as_xyz
'x,y,z'
loop_
_atom_site_label
_atom_site_type_symbol
_atom_site_fract_x
_atom_site_fract_y
_atom_site_fract_z
Ce1 Ce 0.0251 0.4045 0.2806
Ce2 Ce 0.2806 0.0251 0.4045
Ce3 Ce 0.4045 0.2806 0.0251
Ce4 Ce 0.5955 0.7194 0.9749
Ce5 Ce 0.7194 0.9749 0.5955
Ce6 Ce 0.9749 0.5955 0.7194
Pd1 Pd 0.0000 0.0000 0.0000
Pd2 Pd 0.0596 0.2235 0.5526
Pd3 Pd 0.2235 0.5526 0.0596
Pd4 Pd 0.4474 0.9404 0.7765
Pd5 Pd 0.5000 0.5000 0.5000
Pd6 Pd 0.5526 0.0596 0.2235
Pd7 Pd 0.7765 0.4474 0.9404
Pd8 Pd 0.9404 0.7765 0.4474
```

Most intense lines, 15 to 90 degrees two-theta, in order of falling intensity:
2θ 35.03, d 2.562, intensity 100.0; 2θ 37.15, d 2.420, intensity 68.9; 2θ 31.54, d 2.836, intensity 32.3; 2θ 41.82, d 2.160, intensity 17.4; 2θ 51.98, d 1.759, intensity 15.7; 2θ 36.82, d 2.441, intensity 15.1; 2θ 31.92, d 2.804, intensity 11.4; 2θ 64.01, d 1.455, intensity 11.3; 2θ 79.18, d 1.210, intensity 10.9; 2θ 34.62, d 2.591, intensity 10.8


[3]
Simulated XRD peak list of Ce3Pd5 for Cu Ka, from a structure optimized by DFT (PBE).
Neutral-atom scattering factors, no anomalous dispersion.

```
data_Ce3Pd5
_chemical_formula_sum 'Ce3 Pd5'
_cell_length_a 7.1647
_cell_length_b 7.1647
_cell_length_c 3.8606
_cell_angle_alpha 90.00
_cell_angle_beta 90.00
_cell_angle_gamma 120.00
_symmetry_space_group_name_H-M 'P 1'
_symmetry_Int_Tables_number 1
loop_
_symmetry_equiv_pos_as_xyz
'x,y,z'
loop_
_atom_site_label
_atom_site_type_symbol
_atom_site_fract_x
_atom_site_fract_y
_atom_site_fract_z
Ce1 Ce 0.0000 0.6444 0.0000
Ce2 Ce 0.3556 0.3556 0.0000
Ce3 Ce 0.6444 0.0000 0.0000
Pd1 Pd 0.0000 0.2311 0.5000
Pd2 Pd 0.2311 0.0000 0.5000
Pd3 Pd 0.3333 0.6667 0.5000
Pd4 Pd 0.6667 0.3333 0.5000
Pd5 Pd 0.7689 0.7689 0.5000
```

Most intense lines, 15 to 90 degrees two-theta, in order of falling intensity:
2θ 34.14, d 2.626, intensity 100.0; 2θ 38.38, d 2.345, intensity 26.9; 2θ 43.77, d 2.068, intensity 24.9; 2θ 74.22, d 1.278, intensity 20.0; 2θ 45.24, d 2.004, intensity 18.3; 2θ 37.18, d 2.418, intensity 15.3; 2θ 47.08, d 1.930, intensity 14.9; 2θ 66.23, d 1.411, intensity 14.3; 2θ 62.30, d 1.490, intensity 12.7; 2θ 79.07, d 1.211, intensity 8.7


[4]
Simulated XRD peak list of Ce7Pd3 for Cu Ka, from a structure optimized by DFT (PBE).
Neutral-atom scattering factors, no anomalous dispersion.

```
data_Ce7Pd3
_chemical_formula_sum 'Ce14 Pd6'
_cell_length_a 9.8719
_cell_length_b 9.8719
_cell_length_c 6.2385
_cell_angle_alpha 90.00
_cell_angle_beta 90.00
_cell_angle_gamma 119.95
_symmetry_space_group_name_H-M 'P 1'
_symmetry_Int_Tables_number 1
loop_
_symmetry_equiv_pos_as_xyz
'x,y,z'
loop_
_atom_site_label
_atom_site_type_symbol
_atom_site_fract_x
_atom_site_fract_y
_atom_site_fract_z
Ce1 Ce 0.0382 0.5766 0.4996
Ce2 Ce 0.0380 0.9620 0.5000
Ce3 Ce 0.1662 0.8338 0.0821
Ce4 Ce 0.2367 0.3679 0.7351
Ce5 Ce 0.3679 0.2367 0.2351
Ce6 Ce 0.3687 0.6313 0.2347
Ce7 Ce 0.4234 0.9618 0.4996
Ce8 Ce 0.5766 0.0382 0.9996
Ce9 Ce 0.6313 0.3687 0.7347
Ce10 Ce 0.6321 0.7633 0.7351
Ce11 Ce 0.7633 0.6321 0.2351
Ce12 Ce 0.8338 0.1662 0.5821
Ce13 Ce 0.9620 0.0380 0.0000
Ce14 Ce 0.9618 0.4234 0.9996
Pd1 Pd 0.1191 0.3092 0.2811
Pd2 Pd 0.3092 0.1191 0.7811
Pd3 Pd 0.3096 0.6904 0.7810
Pd4 Pd 0.6904 0.3096 0.2810
Pd5 Pd 0.6908 0.8809 0.2811
Pd6 Pd 0.8809 0.6908 0.7811
```

Most intense lines, 15 to 90 degrees two-theta, in order of falling intensity:
2θ 31.17, d 2.870, intensity 100.0; 2θ 34.60, d 2.593, intensity 76.3; 2θ 35.63, d 2.520, intensity 72.2; 2θ 36.39, d 2.469, intensity 57.6; 2θ 30.51, d 2.930, intensity 40.3; 2θ 55.73, d 1.649, intensity 23.8; 2θ 55.32, d 1.661, intensity 22.4; 2θ 70.39, d 1.337, intensity 19.7; 2θ 31.38, d 2.850, intensity 19.6; 2θ 51.09, d 1.788, intensity 19.3


[5]
Simulated XRD peak list of Ce2Pd3Rh3 for Cu Ka, from a structure optimized by DFT (PBE).
Neutral-atom scattering factors, no anomalous dispersion.

```
data_Ce2Pd3Rh3
_chemical_formula_sum 'Ce2 Pd3 Rh3'
_cell_length_a 4.1174
_cell_length_b 4.2110
_cell_length_c 8.1002
_cell_angle_alpha 90.00
_cell_angle_beta 90.00
_cell_angle_gamma 90.00
_symmetry_space_group_name_H-M 'P 1'
_symmetry_Int_Tables_number 1
loop_
_symmetry_equiv_pos_as_xyz
'x,y,z'
loop_
_atom_site_label
_atom_site_type_symbol
_atom_site_fract_x
_atom_site_fract_y
_atom_site_fract_z
Ce1 Ce 0.0000 0.0000 0.2447
Ce2 Ce 0.0000 0.0000 0.7553
Pd1 Pd 0.0000 0.5000 0.5000
Pd2 Pd 0.5000 0.5000 0.2503
Pd3 Pd 0.5000 0.5000 0.7497
Rh1 Rh 0.0000 0.5000 0.0000
Rh2 Rh 0.5000 0.0000 0.0000
Rh3 Rh 0.5000 0.0000 0.5000
```

Most intense lines, 15 to 90 degrees two-theta, in order of falling intensity:
2θ 37.78, d 2.381, intensity 100.0; 2θ 42.96, d 2.105, intensity 17.4; 2θ 43.98, d 2.059, intensity 16.2; 2θ 44.75, d 2.025, intensity 15.3; 2θ 75.28, d 1.262, intensity 12.9; 2θ 76.73, d 1.242, intensity 12.2; 2θ 77.84, d 1.227, intensity 11.6; 2θ 63.17, d 1.472, intensity 10.9; 2θ 80.70, d 1.191, intensity 10.7; 2θ 63.77, d 1.460, intensity 10.5


[6]
Simulated XRD peak list of CePdRh2 for Cu Ka, from a structure optimized by DFT (PBE).
Neutral-atom scattering factors, no anomalous dispersion.

```
data_CePdRh2
_chemical_formula_sum 'Ce1 Pd1 Rh2'
_cell_length_a 4.1607
_cell_length_b 4.1607
_cell_length_c 4.0060
_cell_angle_alpha 90.00
_cell_angle_beta 90.00
_cell_angle_gamma 90.00
_symmetry_space_group_name_H-M 'P 1'
_symmetry_Int_Tables_number 1
loop_
_symmetry_equiv_pos_as_xyz
'x,y,z'
loop_
_atom_site_label
_atom_site_type_symbol
_atom_site_fract_x
_atom_site_fract_y
_atom_site_fract_z
Ce1 Ce 0.0000 0.0000 0.0000
Pd1 Pd 0.5000 0.5000 0.0000
Rh1 Rh 0.0000 0.5000 0.5000
Rh2 Rh 0.5000 0.0000 0.5000
```

Most intense lines, 15 to 90 degrees two-theta, in order of falling intensity:
2θ 37.94, d 2.371, intensity 100.0; 2θ 43.50, d 2.080, intensity 33.9; 2θ 76.15, d 1.250, intensity 25.2; 2θ 64.59, d 1.443, intensity 20.5; 2θ 45.27, d 2.003, intensity 15.1; 2θ 78.69, d 1.216, intensity 11.6; 2θ 63.21, d 1.471, intensity 11.0; 2θ 81.12, d 1.186, intensity 10.7; 2θ 21.36, d 4.161, intensity 0.9; 2θ 30.99, d 2.886, intensity 0.8


[7]
Simulated XRD peak list of CeSbPd for Cu Ka, from a structure optimized by DFT (PBE).
Neutral-atom scattering factors, no anomalous dispersion.

```
data_CeSbPd
_chemical_formula_sum 'Ce2 Sb2 Pd2'
_cell_length_a 4.6183
_cell_length_b 4.6183
_cell_length_c 7.9381
_cell_angle_alpha 90.00
_cell_angle_beta 90.00
_cell_angle_gamma 120.00
_symmetry_space_group_name_H-M 'P 1'
_symmetry_Int_Tables_number 1
loop_
_symmetry_equiv_pos_as_xyz
'x,y,z'
loop_
_atom_site_label
_atom_site_type_symbol
_atom_site_fract_x
_atom_site_fract_y
_atom_site_fract_z
Ce1 Ce 0.0000 0.0000 0.0000
Ce2 Ce 0.0000 0.0000 0.5000
Sb1 Sb 0.3333 0.6667 0.2500
Sb2 Sb 0.6667 0.3333 0.7500
Pd1 Pd 0.3333 0.6667 0.7500
Pd2 Pd 0.6667 0.3333 0.2500
```

Most intense lines, 15 to 90 degrees two-theta, in order of falling intensity:
2θ 31.76, d 2.817, intensity 100.0; 2θ 39.01, d 2.309, intensity 60.1; 2θ 61.62, d 1.505, intensity 30.8; 2θ 51.15, d 1.786, intensity 25.9; 2θ 66.15, d 1.413, intensity 23.7; 2θ 45.72, d 1.985, intensity 12.7; 2θ 88.31, d 1.107, intensity 11.7; 2θ 70.66, d 1.333, intensity 10.2; 2θ 75.72, d 1.256, intensity 8.0; 2θ 83.78, d 1.155, intensity 6.5


[8]
Simulated XRD peak list of CeSbPd for Cu Ka, from a structure optimized by DFT (PBE).
Neutral-atom scattering factors, no anomalous dispersion.

```
data_CeSbPd
_chemical_formula_sum 'Ce2 Sb2 Pd2'
_cell_length_a 5.1871
_cell_length_b 5.1871
_cell_length_c 5.7433
_cell_angle_alpha 90.00
_cell_angle_beta 90.00
_cell_angle_gamma 120.00
_symmetry_space_group_name_H-M 'P 1'
_symmetry_Int_Tables_number 1
loop_
_symmetry_equiv_pos_as_xyz
'x,y,z'
loop_
_atom_site_label
_atom_site_type_symbol
_atom_site_fract_x
_atom_site_fract_y
_atom_site_fract_z
Ce1 Ce 0.0000 0.0000 0.2410
Ce2 Ce 0.0000 0.0000 0.7590
Sb1 Sb 0.3333 0.6667 0.4959
Sb2 Sb 0.6667 0.3333 0.5041
Pd1 Pd 0.3333 0.6667 0.9987
Pd2 Pd 0.6667 0.3333 0.0013
```

Most intense lines, 15 to 90 degrees two-theta, in order of falling intensity:
2θ 34.58, d 2.594, intensity 100.0; 2θ 37.16, d 2.420, intensity 77.4; 2θ 63.67, d 1.462, intensity 31.5; 2θ 51.67, d 1.769, intensity 29.8; 2θ 75.72, d 1.256, intensity 19.5; 2θ 61.97, d 1.497, intensity 18.1; 2θ 84.83, d 1.143, intensity 14.3; 2θ 72.95, d 1.297, intensity 11.1; 2θ 64.95, d 1.436, intensity 5.1; 2θ 47.22, d 1.925, intensity 4.9